Structure and simulated XRD peak list of Ho2Sc8Al (a DFT-relaxed cell (GGA-PBE, Alexandria); Cu Ka).

Structure:
```
data_Ho2Sc8Al
_space_group_name_H-M_alt 'C 1 2/m 1'
_space_group_IT_number 12
_space_group_name_Hall '-C 2y'
_cell_length_a 16.512
_cell_length_b 6.021
_cell_length_c 5.617
_cell_angle_alpha 90.00
_cell_angle_beta 97.99
_cell_angle_gamma 90.00
loop_
_atom_site_label
_atom_site_fract_x
_atom_site_fract_y
_atom_site_fract_z
Ho1 0.217 0.000 0.003
Sc1 0.021 0.000 0.761
Sc2 0.089 0.500 0.978
Sc3 0.151 0.256 0.481
Al1 0.000 0.500 0.500
```

Peak list (12 most intense, 5 to 70 degrees two-theta, sorted by position)
(hkl), Position (°2θ), Rel. int.
2 0 0, 10.82, 821
0 0 1, 15.93, 410
2 0 -1, 18.00, 389
4 0 1, 28.84, 295
5 1 0, 31.12, 648
0 0 2, 32.19, 484
2 0 -2, 32.54, 324
5 1 -1, 33.30, 394
0 2 1, 33.86, 1000
2 2 -1, 34.92, 427
5 1 1, 36.92, 477
4 2 0, 37.09, 397